[1]
Diffraction record for TeBr6. The powder X-ray diffraction pattern is computed, not measured: it uses DFT lattice parameters and positions (PBE) and CuKα.
Neutral-atom scattering factors, no anomalous dispersion.

Peak list (10 most intense, 5° ≤ 2θ ≤ 70°, sorted by position)
2theta  intensity
14.37  100
14.83  69
18.38  74
28.97  56
29.92  48
30.15  58
32.73  45
37.25  41
41.84  41
47.39  40

Structure:
```
TeBr6
1.0
6.827 0.000 0.000
0.000 6.827 0.000
0.000 0.000 12.329
Te Br
2 12
direct
0.000 0.000 0.000
0.500 0.500 0.500
0.000 0.000 0.210
0.000 0.000 0.790
0.176 0.292 0.500
0.208 0.324 0.000
0.292 0.824 0.500
0.324 0.792 0.000
0.500 0.500 0.290
0.500 0.500 0.710
0.676 0.208 0.000
0.708 0.176 0.500
0.792 0.676 0.000
0.824 0.708 0.500
```

=====

[2]
Diffraction record for PmTmTeC. The powder X-ray diffraction pattern is computed, not measured: it uses DFT lattice parameters and positions (PBE) and CuKα.
Neutral-atom scattering factors, no anomalous dispersion.

Peak list (10 most intense, 5° ≤ 2θ ≤ 70°, sorted by position)
2theta  intensity
27.14  44
28.10  16
31.66  78
34.11  100
37.72  24
47.36  47
50.62  18
58.09  14
59.64  20
62.07  34

Structure:
```
PmTmTeC
1.0
1.920 1.108 7.155
-1.920 1.108 7.155
0.000 -2.217 7.155
Pm Tm Te C
1 1 1 1
direct
0.000 0.000 0.000
0.791 0.791 0.791
0.224 0.224 0.224
0.399 0.399 0.399
```